Simulated powder diffraction line list
Compound: Ca2CdBi4
Radiation: CuKα
Structure: DFT lattice parameters and positions (PBE)
Kinematic intensities with the Lorentz-polarization factor, no thermal factor.

Cell and atoms:
Unit cell a=4.7137 b=4.7137 c=9.9406 alpha=90.00 beta=90.00 gamma=90.00
Space group P-4m2 (No. 115)
One atom of each set of equivalent atoms:
Ca (0.0000, 0.5000, 0.2363) [2 per cell]
Cd (0.5000, 0.5000, 0.0000) [1 per cell]
Bi (0.0000, 0.0000, 0.5000) [1 per cell]
Bi (0.0000, 0.5000, 0.8096) [2 per cell]
Bi (0.5000, 0.5000, 0.5000) [1 per cell]

Principal peaks in the range 10° ≤ 2θ ≤ 80°, in order of falling intensity:
- 2θ = 32.3°, I 1000
- 2θ = 38.2°, I 404
- 2θ = 20.9°, I 350
- 2θ = 28.2°, I 349
- 2θ = 53.6°, I 274
- 2θ = 65.4°, I 268
- 2θ = 26.9°, I 226
- 2θ = 47.3°, I 205
- 2θ = 26.1°, I 173
- 2θ = 55.1°, I 141

Simulated powder diffraction line list
Compound: Ca4CdBi
Radiation: CuKα
Structure: DFT lattice parameters and positions (PBE)
Kinematic intensities with the Lorentz-polarization factor, no thermal factor.

Cell and atoms:
Unit cell a=10.1132 b=14.3705 c=6.8405 alpha=90.00 beta=121.45 gamma=90.00
Space group C2/c (No. 15)
One atom of each set of equivalent atoms:
Ca (0.1260, 0.1800, 0.1024) [8 per cell]
Ca (0.1988, 0.4381, 0.2806) [8 per cell]
Cd (0.0000, 0.0012, 0.2500) [4 per cell]
Bi (0.0000, 0.3635, 0.7500) [4 per cell]

Principal peaks in the range 10° ≤ 2θ ≤ 80°, in order of falling intensity:
- 2θ = 14.5°, I 1000
- 2θ = 34.0°, I 917
- 2θ = 21.2°, I 909
- 2θ = 19.6°, I 783
- 2θ = 32.7°, I 763
- 2θ = 27.2°, I 726
- 2θ = 36.4°, I 693
- 2θ = 35.6°, I 676
- 2θ = 22.0°, I 647
- 2θ = 20.6°, I 638